This entry pairs a crystal structure of LaBe2TlPb with its theoretical PXRD pattern. Radiation: Cu Kα X-rays. Structure: a cell relaxed with PBE.
Neutral-atom scattering factors, no anomalous dispersion.

Top 10 peaks for 2θ from 10° to 80°, in order of rising 2θ:
(hkl)	2θ/deg	intensity
1 0 0	19.09	58
1 1 0	27.13	100
0 0 2	28.96	47
1 0 2	34.92	27
2 0 0	38.74	43
1 1 2	40.10	72
2 0 2	49.09	44
3 1 0	63.26	19
2 2 2	64.22	20
3 1 2	71.04	27

Cell and atoms:
Unit cell a=4.649 b=4.649 c=6.166 alpha=90.00 beta=90.00 gamma=90.00
Positions (direct):
La (0.000, 0.000, 0.000)
Be (0.000, 0.500, 0.500)
Be (0.500, 0.000, 0.500)
Tl (0.500, 0.500, 0.500)
Pb (0.500, 0.500, 0.000)